For MoRhO4, a crystal structure in Alexandria, relaxed with PBE+U gives the theoretical powder XRD pattern in this record (Cu Kα X-rays).
Intensities are scaled so that the largest is 100.

Top 10 peaks for 10 to 90 degrees two-theta, sorted by position:
d [Å], intensity
3.293, 100
2.612, 78
2.329, 20
1.738, 65
1.647, 16
1.473, 14
1.423, 15
1.393, 19
1.195, 12
1.139, 9

Cell and atoms:
```
MoRhO4
1.0
-3.2933 3.2933 3.1554
3.2933 -3.2933 3.1554
3.2933 3.2933 -3.1554
Mo Rh O
2 2 8
Direct
0.0000 0.0000 0.0000
0.7500 0.2500 0.5000
0.2448 0.7448 0.5000
0.4948 0.4948 0.0000
0.1845 0.4913 0.6932
0.2413 0.0482 0.8068
0.2413 0.4345 0.1932
0.2972 0.9955 0.3017
0.6938 0.9955 0.6983
0.7455 0.5472 0.8017
0.7455 0.9438 0.1983
0.7982 0.4913 0.3068
```